Structure and computed powder diffraction line list of Tb2HoWO8 (a DFT-relaxed cell (PBE+U, Alexandria); Cu Kα (weighted mean of Kα1 and Kα2)).
Intensities are scaled so that the largest is 100.

Main lines, by angle (10 to 80 degrees two-theta):
h k l	d/Å	intensity
0 2 0	3.616	58
2 0 0	3.563	53
1 1 2	2.830	100
2 2 0	2.538	30
1 3 2	1.897	40
3 1 2	1.882	37
3 3 2	1.516	22
2 2 4	1.415	11

Structure:
```
data_Tb2HoWO8
_symmetry_space_group_name_H-M 'C m m m'
_symmetry_Int_Tables_number 65
_symmetry_space_group_name_Hall '-C 2 2'
_cell_length_a 7.125
_cell_length_b 7.232
_cell_length_c 6.819
_cell_angle_alpha 90.00
_cell_angle_beta 90.00
_cell_angle_gamma 90.00
loop_
_atom_site_label
_atom_site_fract_x
_atom_site_fract_y
_atom_site_fract_z
Tb1 0.000 0.000 0.250
Ho1 0.000 0.500 0.000
W1 0.000 0.500 0.500
O1 0.000 0.318 0.287
O2 0.195 0.000 0.000
O3 0.226 0.000 0.500
```